Diffraction record for Li3V4SnO12. The powder XRD pattern is calculated, not measured: it uses a DFT-relaxed cell (PBE+U, Alexandria) and Cu Kα (weighted mean of Kα1 and Kα2).

Unit cell a=5.136 b=5.472 c=7.412 alpha=84.99 beta=89.45 gamma=89.55
Space group P1 (No. 1)
One atom of each set of equivalent atoms:
Li 0.000 0.000 0.000 x1
Li 0.002 0.002 0.499 x1
Li 0.493 0.481 0.498 x1
V 0.012 0.576 0.772 x1
V 0.477 0.039 0.302 x1
V 0.519 0.065 0.781 x1
V 0.983 0.556 0.297 x1
Sn 0.501 0.484 0.998 x1
O 0.116 0.606 0.546 x1
O 0.190 0.902 0.244 x1
O 0.207 0.288 0.864 x1
O 0.303 0.777 0.870 x1
O 0.325 0.410 0.243 x1
O 0.383 0.098 0.535 x1
O 0.615 0.110 0.056 x1
O 0.680 0.407 0.746 x1
O 0.687 0.790 0.356 x1
O 0.806 0.907 0.738 x1
O 0.816 0.292 0.361 x1
O 0.869 0.609 0.042 x1

Largest 6 diffraction maxima, in order of rising 2θ, 2θ from 10° to 80°:
11.99 deg, d = 7.383 Å, I 70; 16.26 deg, d = 5.451 Å, I 45; 21.12 deg, d = 4.206 Å, I 52; 27.38 deg, d = 3.257 Å, I 47; 32.88 deg, d = 2.724 Å, I 100; 33.25 deg, d = 2.695 Å, I 45